Simulated powder XRD pattern
Compound: NaSb2Au4
Radiation: Cu Kα (λ = 1.5418 Å)
Structure: DFT lattice parameters and positions (GGA-PBE)
Kinematic intensities with the Lorentz-polarization factor, no thermal factor.

Crystal structure
```
data_NaSb2Au4
_cell_length_a 17.2944
_cell_length_b 4.8217
_cell_length_c 7.6057
_cell_angle_alpha 90.00
_cell_angle_beta 90.00
_cell_angle_gamma 90.00
_space_group_name_H-M_alt 'P n m a'
_space_group_IT_number 62
loop_
_space_group_symop_operation_xyz
'x,y,z'
'-x,-y,-z'
'-x+1/2,-y,z+1/2'
'x+1/2,y,-z+1/2'
'x+1/2,-y+1/2,-z+1/2'
'-x+1/2,y+1/2,z+1/2'
'-x,y+1/2,-z'
'x,-y+1/2,z'
loop_
_atom_site_label
_atom_site_fract_x
_atom_site_fract_y
_atom_site_fract_z
Na1 0.1442 0.2500 0.0296
Sb1 0.0125 0.7500 0.2823
Sb2 0.2252 0.2500 0.5837
Au1 0.0291 0.7500 0.9050
Au2 0.0801 0.2500 0.4106
Au3 0.1736 0.7500 0.3956
Au4 0.1905 0.7500 0.7790
```

Largest 10 diffraction maxima, low angle first, 5° ≤ 2θ ≤ 70°:
Position (°2θ), Rel. int.
19.32, 42.0
23.96, 24.0
27.71, 26.6
28.11, 27.5
34.01, 58.6
37.30, 72.1
39.89, 69.8
41.58, 100.0
43.68, 19.6
46.01, 26.9

Simulated powder XRD pattern
Compound: SmTa2N4
Radiation: Cu Kα (λ = 1.5418 Å)
Structure: DFT lattice parameters and positions (GGA-PBE)
Kinematic intensities with the Lorentz-polarization factor, no thermal factor.

Crystal structure
```
data_SmTa2N4
_cell_length_a 3.1607
_cell_length_b 10.2917
_cell_length_c 10.4680
_cell_angle_alpha 90.00
_cell_angle_beta 90.00
_cell_angle_gamma 90.00
_space_group_name_H-M_alt 'C m c m'
_space_group_IT_number 63
_space_group_name_Hall '-C 2c 2'
loop_
_atom_site_label
_atom_site_fract_x
_atom_site_fract_y
_atom_site_fract_z
Sm1 0.0000 0.1168 0.2500
Ta1 0.0000 0.3710 0.0665
N1 0.0000 0.0000 0.0000
N2 0.0000 0.2662 0.6101
N3 0.0000 0.4364 0.2500
```

Largest 10 diffraction maxima, low angle first, 5° ≤ 2θ ≤ 70°:
Position (°2θ), Rel. int.
30.80, 33.8
30.96, 100.0
34.27, 45.2
34.87, 35.1
39.72, 27.1
42.55, 31.5
53.23, 22.4
59.41, 15.1
60.11, 16.9
67.57, 22.1

Simulated powder XRD pattern
Compound: K2Si2Sb
Radiation: Cu Kα (λ = 1.5418 Å)
Structure: DFT lattice parameters and positions (GGA-PBE)
Kinematic intensities with the Lorentz-polarization factor, no thermal factor.

Crystal structure
```
data_K2Si2Sb
_cell_length_a 3.5075
_cell_length_b 3.5075
_cell_length_c 22.6854
_cell_angle_alpha 90.00
_cell_angle_beta 90.00
_cell_angle_gamma 90.00
_space_group_name_H-M_alt 'I 4/m m m'
_space_group_IT_number 139
_space_group_name_Hall '-I 4 2'
loop_
_atom_site_label
_atom_site_fract_x
_atom_site_fract_y
_atom_site_fract_z
K1 0.0000 0.0000 0.1138
Si1 0.0000 0.5000 0.2500
Sb1 0.0000 0.0000 0.5000
```

Largest 10 diffraction maxima, low angle first, 5° ≤ 2θ ≤ 70°:
Position (°2θ), Rel. int.
7.79, 76.2
15.63, 37.7
28.04, 100.0
31.55, 41.1
32.26, 95.8
37.11, 61.3
43.65, 22.7
54.83, 33.6
60.26, 21.1
62.67, 25.4